(1)
# DyScCO
Computed XRD peak list, Cu Kα (λ = 1.5418 Å). Input: a DFT-relaxed cell (GGA-PBE, Alexandria).
Intensities are scaled so that the largest is 100.

Structure:
a b c (Å): 3.0541 3.1612 11.5145
angles (deg): 90.00 90.00 90.00
Space group Imm2 (No. 44)
Symmetry-distinct sites (fractional):
Dy1 0.0000 0.0000 0.0000
Sc1 0.0000 0.5000 0.2565
C1 0.0000 0.5000 0.8336
O1 0.0000 0.0000 0.5868

Principal peaks in the range 10 to 90 degrees two-theta, low angle first:
15.39 deg, rel. 98, hkl 0 0 2
29.30 deg, rel. 71, hkl 0 1 1
30.28 deg, rel. 68, hkl 1 0 1
31.07 deg, rel. 51, hkl 0 0 4
36.83 deg, rel. 50, hkl 0 1 3
44.13 deg, rel. 100, hkl 1 1 2

---

(2)
# Dy2OsC2
Computed XRD peak list, Cu Kα (λ = 1.5418 Å). Input: a DFT-relaxed cell (GGA-PBE, Alexandria).
Intensities are scaled so that the largest is 100.

Structure:
a b c (Å): 6.4539 5.1350 9.7991
angles (deg): 90.00 90.00 90.00
Space group Pnma (No. 62)
Symmetry-distinct sites (fractional):
Dy1 0.0260 0.2500 0.2192
Dy2 0.1841 0.2500 0.5520
Os1 0.2262 0.2500 0.8645
C1 0.0374 0.7500 0.2418
C2 0.1755 0.7500 0.5524

Principal peaks in the range 10 to 90 degrees two-theta, low angle first:
32.49 deg, rel. 74, hkl 0 1 3
32.78 deg, rel. 26, hkl 2 1 0
33.24 deg, rel. 27, hkl 2 0 2
34.07 deg, rel. 100, hkl 2 1 1
34.95 deg, rel. 70, hkl 0 2 0
35.41 deg, rel. 57, hkl 1 1 3

---

(3)
# Dy2UOsC4
Computed XRD peak list, Cu Kα (λ = 1.5418 Å). Input: a DFT-relaxed cell (GGA-PBE, Alexandria).
Intensities are scaled so that the largest is 100.

Structure:
a b c (Å): 3.4504 11.7031 11.9988
angles (deg): 90.00 90.00 90.00
Space group Cmcm (No. 63)
Symmetry-distinct sites (fractional):
Dy1 0.0000 0.1322 0.0416
U1 0.0000 0.3975 0.2500
Os1 0.0000 0.3456 0.7500
C1 0.0000 0.0591 0.2500
C2 0.0000 0.2264 0.6385
C3 0.0000 0.5000 0.0000

Principal peaks in the range 10 to 90 degrees two-theta, low angle first:
27.00 deg, rel. 24, hkl 0 2 3
29.78 deg, rel. 44, hkl 0 0 4
30.55 deg, rel. 47, hkl 0 4 0
30.86 deg, rel. 100, hkl 1 1 2
37.91 deg, rel. 70, hkl 1 3 2
43.19 deg, rel. 24, hkl 0 4 4

---

(4)
# Dy4PCSe2
Computed XRD peak list, Cu Kα (λ = 1.5418 Å). Input: a DFT-relaxed cell (GGA-PBE, Alexandria).
Intensities are scaled so that the largest is 100.

Structure:
a b c (Å): 6.8066 3.8911 6.9746
angles (deg): 90.00 108.68 90.00
Space group P2/m (No. 10)
Symmetry-distinct sites (fractional):
Dy1 0.2203 0.0000 0.2110
Dy2 0.2398 0.5000 0.7812
P1 0.5000 0.0000 0.0000
C1 0.0000 0.5000 0.0000
Se1 0.0000 0.0000 0.5000
Se2 0.5000 0.5000 0.5000

Principal peaks in the range 10 to 90 degrees two-theta, low angle first:
27.93 deg, rel. 26, hkl 1 1 -1
32.01 deg, rel. 100, hkl 1 1 1
45.46 deg, rel. 20, hkl 1 1 -3
46.32 deg, rel. 23, hkl 3 1 -1
46.69 deg, rel. 13, hkl 0 2 0
57.71 deg, rel. 13, hkl 2 2 -2

---

(5)
# DyPa3C4
Computed XRD peak list, Cu Kα (λ = 1.5418 Å). Input: a DFT-relaxed cell (GGA-PBE, Alexandria).
Intensities are scaled so that the largest is 100.

Structure:
a b c (Å): 7.1917 10.1933 3.6150
angles (deg): 90.00 90.00 90.00
Space group Cmmm (No. 65)
Symmetry-distinct sites (fractional):
Dy1 0.0000 0.0000 0.0000
Pa1 0.0000 0.5000 0.0000
Pa2 0.2500 0.2500 0.5000
C1 0.0000 0.2559 0.0000
C2 0.2359 0.5000 0.5000

Principal peaks in the range 10 to 90 degrees two-theta, low angle first:
30.31 deg, rel. 80, hkl 0 2 1
30.42 deg, rel. 79, hkl 2 2 0
35.21 deg, rel. 100, hkl 2 0 1
50.65 deg, rel. 48, hkl 2 4 1
60.13 deg, rel. 37, hkl 2 2 2
60.28 deg, rel. 37, hkl 4 2 1

---

(6)
# DyPa2TaC4
Computed XRD peak list, Cu Kα (λ = 1.5418 Å). Input: a DFT-relaxed cell (GGA-PBE, Alexandria).
Intensities are scaled so that the largest is 100.

Structure:
a b c (Å): 6.8952 7.0134 9.8586
angles (deg): 90.00 90.00 90.00
Space group Imma (No. 74)
Symmetry-distinct sites (fractional):
Dy1 0.0000 0.0000 0.0000
Pa1 0.0000 0.0000 0.5000
Pa2 0.2500 0.2500 0.2500
Ta1 0.2500 0.2500 0.7500
C1 0.0000 0.0193 0.7481
C2 0.2403 0.2500 0.5125

Principal peaks in the range 10 to 90 degrees two-theta, low angle first:
31.30 deg, rel. 81, hkl 0 2 2
31.67 deg, rel. 78, hkl 2 0 2
36.52 deg, rel. 100, hkl 2 2 0
52.58 deg, rel. 47, hkl 2 2 4
62.33 deg, rel. 24, hkl 2 4 2
62.97 deg, rel. 23, hkl 4 2 2

---

(7)
# DyPa2TcC4
Computed XRD peak list, Cu Kα (λ = 1.5418 Å). Input: a DFT-relaxed cell (GGA-PBE, Alexandria).
Intensities are scaled so that the largest is 100.

Structure:
a b c (Å): 3.5901 11.8180 11.8478
angles (deg): 90.00 90.00 90.00
Space group Cmcm (No. 63)
Symmetry-distinct sites (fractional):
Dy1 0.0000 0.1233 0.2500
Pa1 0.0000 0.3679 0.0432
Tc1 0.0000 0.1413 0.7500
C1 0.0000 0.0000 0.0000
C2 0.0000 0.2629 0.6283
C3 0.0000 0.4371 0.2500

Principal peaks in the range 10 to 90 degrees two-theta, low angle first:
27.16 deg, rel. 52, hkl 0 2 3
30.07 deg, rel. 100, hkl 1 1 2
30.22 deg, rel. 94, hkl 0 4 0
37.13 deg, rel. 89, hkl 1 3 2
46.57 deg, rel. 28, hkl 1 1 5
60.32 deg, rel. 28, hkl 2 4 0

---

(8)
# Dy8PbC4
Computed XRD peak list, Cu Kα (λ = 1.5418 Å). Input: a DFT-relaxed cell (GGA-PBE, Alexandria).
Intensities are scaled so that the largest is 100.

Structure:
a b c (Å): 17.4806 3.6380 11.9365
angles (deg): 90.00 131.18 90.00
Space group C2/m (No. 12)
Symmetry-distinct sites (fractional):
Dy1 0.0415 0.0000 0.2367
Dy2 0.1320 0.5000 0.0900
Dy3 0.1642 0.5000 0.8403
Dy4 0.2033 0.5000 0.5662
Pb1 0.0000 0.0000 0.5000
C1 0.1491 0.0000 0.9633
C2 0.1672 0.5000 0.3300

Principal peaks in the range 10 to 90 degrees two-theta, low angle first:
30.84 deg, rel. 70, hkl 6 0 -3
31.96 deg, rel. 100, hkl 3 1 0
32.56 deg, rel. 43, hkl 2 0 -4
33.38 deg, rel. 95, hkl 3 1 -3
34.67 deg, rel. 40, hkl 4 0 1
52.07 deg, rel. 37, hkl 1 1 4

---

(9)
# Dy4PbC2
Computed XRD peak list, Cu Kα (λ = 1.5418 Å). Input: a DFT-relaxed cell (GGA-PBE, Alexandria).
Intensities are scaled so that the largest is 100.

Structure:
a b c (Å): 3.6132 3.6132 43.0948
angles (deg): 90.00 90.00 120.00
Space group R-3m (No. 166, hexagonal axes)
Symmetry-distinct sites (fractional):
Dy1 0.0000 0.0000 0.1242
Dy2 0.0000 0.0000 0.2713
Pb1 0.0000 0.0000 0.0000
C1 0.0000 0.0000 0.4274

Principal peaks in the range 10 to 90 degrees two-theta, low angle first:
28.60 deg, rel. 37, hkl 1 0 1
31.13 deg, rel. 34, hkl 0 0 15
32.09 deg, rel. 100, hkl 1 0 7
33.11 deg, rel. 81, hkl 0 1 8
50.52 deg, rel. 43, hkl 1 1 0
60.54 deg, rel. 32, hkl 1 1 15

---

(10)
# Sm3DyPb2C
Computed XRD peak list, Cu Kα (λ = 1.5418 Å). Input: a DFT-relaxed cell (GGA-PBE, Alexandria).
Intensities are scaled so that the largest is 100.

Structure:
a b c (Å): 4.8624 4.9484 16.4752
angles (deg): 90.00 90.00 90.00
Space group Immm (No. 71)
Symmetry-distinct sites (fractional):
Sm1 0.0000 0.0000 0.0000
Sm2 0.0000 0.5000 0.1589
Dy1 0.0000 0.0000 0.5000
Pb1 0.0000 0.5000 0.3595
C1 0.0000 0.5000 0.0000

Principal peaks in the range 10 to 90 degrees two-theta, low angle first:
25.69 deg, rel. 22, hkl 1 1 0
27.91 deg, rel. 54, hkl 1 1 2
32.62 deg, rel. 28, hkl 0 0 6
33.79 deg, rel. 100, hkl 1 1 4
36.31 deg, rel. 29, hkl 0 2 0
36.97 deg, rel. 27, hkl 2 0 0

---

(11)
# Dy3YPb2C
Computed XRD peak list, Cu Kα (λ = 1.5418 Å). Input: a DFT-relaxed cell (GGA-PBE, Alexandria).
Intensities are scaled so that the largest is 100.

Structure:
a b c (Å): 4.8303 4.8321 16.1147
angles (deg): 90.00 90.00 90.00
Space group Immm (No. 71)
Symmetry-distinct sites (fractional):
Dy1 0.0000 0.0000 0.0000
Dy2 0.0000 0.5000 0.1572
Y1 0.0000 0.0000 0.5000
Pb1 0.0000 0.5000 0.3576
C1 0.0000 0.5000 0.0000

Principal peaks in the range 10 to 90 degrees two-theta, low angle first:
26.08 deg, rel. 35, hkl 1 1 0
28.38 deg, rel. 49, hkl 1 1 2
34.42 deg, rel. 100, hkl 1 1 4
37.22 deg, rel. 57, hkl 2 0 0
50.84 deg, rel. 35, hkl 2 0 6
65.32 deg, rel. 32, hkl 3 1 4